[1]
This entry pairs a crystal structure of Ac2CeBi2N2 with its simulated X-ray diffraction stick pattern. Radiation: a wavelength of 1.5418 Å. Structure: a GGA-PBE-relaxed structure.
Lines closer than 0.1° are merged.

Structure:
a = 4.6236 Å, b = 4.6236 Å, c = 17.1852 Å
α = 90.00°, β = 90.00°, γ = 90.00°
Atoms (fractional coordinates):
Ac 0.0000 0.0000 0.1028
Ac 0.0000 0.0000 0.8972
Ac 0.5000 0.5000 0.3972
Ac 0.5000 0.5000 0.6028
Ce 0.0000 0.0000 0.5000
Ce 0.5000 0.5000 0.0000
Bi 0.0000 0.0000 0.2983
Bi 0.0000 0.0000 0.7017
Bi 0.5000 0.5000 0.2017
Bi 0.5000 0.5000 0.7983
N 0.0000 0.5000 0.0000
N 0.0000 0.5000 0.5000
N 0.5000 0.0000 0.0000
N 0.5000 0.0000 0.5000

Principal peaks in the range 2θ from 15° to 90°, in order of falling intensity:
2θ 32.5, rel. 100; 2θ 27.3, rel. 73; 2θ 51.6, rel. 56; 2θ 39.0, rel. 33; 2θ 60.9, rel. 16; 2θ 79.8, rel. 16; 2θ 63.6, rel. 14; 2θ 66.5, rel. 13

---

[2]
This entry pairs a crystal structure of NaZr2SN2Cl with its simulated X-ray diffraction stick pattern. Radiation: a wavelength of 1.5418 Å. Structure: a GGA-PBE-relaxed structure.
Lines closer than 0.1° are merged.

Structure:
a = 10.2379 Å, b = 7.3626 Å, c = 6.4203 Å
α = 90.00°, β = 101.72°, γ = 90.00°
Atoms (fractional coordinates):
Na 0.0089 0.1241 0.2636
Na 0.0089 0.3759 0.7636
Na 0.9911 0.6241 0.2364
Na 0.9911 0.8759 0.7364
Zr 0.3685 0.1336 0.0268
Zr 0.3685 0.3664 0.5268
Zr 0.3740 0.6189 0.0556
Zr 0.3740 0.8811 0.5556
Zr 0.6260 0.1189 0.4444
Zr 0.6260 0.3811 0.9444
Zr 0.6315 0.6336 0.4732
Zr 0.6315 0.8664 0.9732
S 0.1930 0.1232 0.6476
S 0.1930 0.3768 0.1476
S 0.8070 0.6232 0.8524
S 0.8070 0.8768 0.3524
N 0.4120 0.6340 0.4035
N 0.4120 0.8660 0.9035
N 0.4129 0.1134 0.3716
N 0.4129 0.3866 0.8716
N 0.5871 0.6134 0.1284
N 0.5871 0.8866 0.6284
N 0.5880 0.1340 0.0965
N 0.5880 0.3660 0.5965
Cl 0.1696 0.6307 0.6348
Cl 0.1696 0.8693 0.1348
Cl 0.8304 0.1307 0.8652
Cl 0.8304 0.3693 0.3652

Principal peaks in the range 2θ from 15° to 90°, in order of falling intensity:
2θ 31.8, rel. 100; 2θ 31.5, rel. 50; 2θ 49.3, rel. 36; 2θ 41.2, rel. 34; 2θ 28.6, rel. 31; 2θ 35.0, rel. 28; 2θ 59.9, rel. 22; 2θ 35.8, rel. 19

---

[3]
This entry pairs a crystal structure of Tl8In3Bi with its simulated X-ray diffraction stick pattern. Radiation: a wavelength of 1.5418 Å. Structure: a GGA-PBE-relaxed structure.
Lines closer than 0.1° are merged.

Structure:
a = 6.0776 Å, b = 6.0776 Å, c = 11.2812 Å
α = 90.00°, β = 90.00°, γ = 120.00°
Atoms (fractional coordinates):
Tl 0.0000 0.3323 0.2453
Tl 0.0000 0.6677 0.7547
Tl 0.3323 0.0000 0.2453
Tl 0.3323 0.3323 0.7547
Tl 0.3333 0.6667 0.5000
Tl 0.6667 0.3333 0.5000
Tl 0.6677 0.0000 0.7547
Tl 0.6677 0.6677 0.2453
In 0.0000 0.0000 0.0000
In 0.3333 0.6667 0.0000
In 0.6667 0.3333 0.0000
Bi 0.0000 0.0000 0.5000

Principal peaks in the range 2θ from 15° to 90°, in order of falling intensity:
2θ 33.5, rel. 100; 2θ 30.5, rel. 60; 2θ 31.7, rel. 37; 2θ 38.1, rel. 32; 2θ 62.3, rel. 32; 2θ 52.1, rel. 28; 2θ 57.7, rel. 21; 2θ 89.1, rel. 19

---

[4]
This entry pairs a crystal structure of Rb2TmZnF6 with its simulated X-ray diffraction stick pattern. Radiation: a wavelength of 1.5418 Å. Structure: a GGA-PBE-relaxed structure.
Lines closer than 0.1° are merged.

Structure:
a = 6.4295 Å, b = 9.0931 Å, c = 6.4243 Å
α = 90.00°, β = 90.00°, γ = 90.00°
Atoms (fractional coordinates):
Rb 0.2500 0.0000 0.2497
Rb 0.2500 0.5000 0.2497
Rb 0.7500 0.0000 0.7503
Rb 0.7500 0.5000 0.7503
Tm 0.2500 0.2500 0.7492
Tm 0.7500 0.7500 0.2508
Zn 0.2500 0.7500 0.7495
Zn 0.7500 0.2500 0.2505
F 0.0139 0.2500 0.5132
F 0.0145 0.2500 0.9853
F 0.2500 0.0142 0.7485
F 0.2500 0.4858 0.7485
F 0.4861 0.2500 0.5132
F 0.4855 0.2500 0.9853
F 0.5145 0.7500 0.0147
F 0.5139 0.7500 0.4868
F 0.7500 0.5142 0.2515
F 0.7500 0.9858 0.2515
F 0.9855 0.7500 0.0147
F 0.9861 0.7500 0.4868

Principal peaks in the range 2θ from 15° to 90°, in order of falling intensity:
2θ 27.8, rel. 100; 2θ 49.1, rel. 42; 2θ 39.7, rel. 38; 2θ 57.3, rel. 24; 2θ 78.8, rel. 22; 2θ 64.9, rel. 19; 2θ 16.9, rel. 18; 2θ 19.5, rel. 10